No. 1
Starting from a PBE-relaxed structure, the powder XRD pattern of Cs2Au2O3 was calculated for Cu Kα (λ = 1.5418 Å).
Lines closer than 0.1° are merged.

Atomic structure:
abc: 6.985 6.985 7.249
angles: 98.58 98.58 98.13
Positions (direct):
Cs: 0.187 0.311 0.104
Cs: 0.311 0.187 0.604
Cs: 0.689 0.813 0.396
Cs: 0.813 0.689 0.896
Au: 0.227 0.684 0.522
Au: 0.316 0.773 0.978
Au: 0.684 0.227 0.022
Au: 0.773 0.316 0.478
O: 0.090 0.765 0.283
O: 0.235 0.910 0.217
O: 0.386 0.614 0.750
O: 0.614 0.386 0.250
O: 0.765 0.090 0.783
O: 0.910 0.235 0.717

Main lines, in order of rising 2θ (5° ≤ 2θ ≤ 70°):
d (Å), 2theta, I_rel
5.277, 16.80, 220
3.530, 25.23, 325
3.405, 26.17, 1000
3.068, 29.10, 301
2.933, 30.48, 456
2.879, 31.07, 600
2.506, 35.84, 255
2.470, 36.38, 247
2.262, 39.86, 208
1.623, 56.71, 266


No. 2
Starting from a PBE-relaxed structure, the powder XRD pattern of ZrNi3Ge4 was calculated for Cu Kα (λ = 1.5418 Å).
Lines closer than 0.1° are merged.

Atomic structure:
abc: 5.928 3.343 6.404
angles: 90.00 91.39 90.00
Positions (direct):
Zr: 0.000 0.000 0.000
Ni: 0.003 0.500 0.383
Ni: 0.516 0.000 0.888
Ni: 0.526 0.500 0.498
Ge: 0.232 0.500 0.739
Ge: 0.322 0.000 0.299
Ge: 0.661 0.500 0.143
Ge: 0.809 0.000 0.601

Main lines, in order of rising 2θ (5° ≤ 2θ ≤ 70°):
d (Å), 2theta, I_rel
2.789, 32.10, 401
2.663, 33.66, 1000
2.639, 33.97, 432
2.201, 41.00, 458
2.167, 41.68, 379
2.141, 42.20, 517
2.107, 42.92, 556
2.084, 43.43, 887
1.799, 50.75, 535
1.672, 54.93, 448


No. 3
Starting from a PBE-relaxed structure, the powder XRD pattern of K4Nb8SiP4O34 was calculated for Cu Kα (λ = 1.5418 Å).
Lines closer than 0.1° are merged.

Atomic structure:
abc: 10.587 10.587 6.426
angles: 90.00 90.00 90.00
Positions (direct):
K: 0.000 0.000 0.000
K: 0.000 0.500 0.197
K: 0.500 0.000 0.803
K: 0.500 0.500 0.000
Nb: 0.000 0.314 0.696
Nb: 0.000 0.686 0.696
Nb: 0.314 0.000 0.304
Nb: 0.323 0.323 0.500
Nb: 0.323 0.677 0.500
Nb: 0.677 0.323 0.500
Nb: 0.677 0.677 0.500
Nb: 0.686 0.000 0.304
Si: 0.000 0.000 0.500
P: 0.262 0.262 0.000
P: 0.262 0.738 0.000
P: 0.738 0.262 0.000
P: 0.738 0.738 0.000
O: 0.000 0.126 0.650
O: 0.000 0.500 0.753
O: 0.000 0.874 0.650
O: 0.122 0.286 0.952
O: 0.122 0.714 0.952
O: 0.126 0.000 0.350
O: 0.136 0.329 0.506
O: 0.136 0.671 0.506
O: 0.286 0.122 0.048
O: 0.286 0.878 0.048
O: 0.301 0.346 0.185
O: 0.301 0.654 0.185
O: 0.328 0.500 0.564
O: 0.329 0.136 0.494
O: 0.329 0.864 0.494
O: 0.346 0.301 0.815
O: 0.346 0.699 0.815
O: 0.500 0.000 0.247
O: 0.500 0.328 0.436
O: 0.500 0.672 0.436
O: 0.654 0.301 0.815
O: 0.654 0.699 0.815
O: 0.671 0.136 0.494
O: 0.671 0.864 0.494
O: 0.672 0.500 0.564
O: 0.699 0.346 0.185
O: 0.699 0.654 0.185
O: 0.714 0.122 0.048
O: 0.714 0.878 0.048
O: 0.864 0.329 0.506
O: 0.864 0.671 0.506
O: 0.874 0.000 0.350
O: 0.878 0.286 0.952
O: 0.878 0.714 0.952

Main lines, in order of rising 2θ (5° ≤ 2θ ≤ 70°):
d (Å), 2theta, I_rel
6.426, 13.78, 289
5.493, 16.13, 410
4.086, 21.75, 449
3.529, 25.24, 1000
3.093, 28.86, 348
2.969, 30.10, 170
2.953, 30.27, 152
2.747, 32.60, 230
2.671, 33.56, 252
1.764, 51.81, 152